Structure and calculated PXRD pattern of AcBi3Rh (a DFT-relaxed cell (GGA-PBE, Alexandria); Cu Kα).

Top 10 peaks for 2θ from 15° to 90°, by intensity:
2θ/deg, I/Imax
31.81, 100
31.01, 76
39.81, 38
26.97, 37
57.54, 31
28.72, 29
61.27, 22
49.80, 17
50.78, 16
51.42, 14

Cell and atoms:
```
AcBi3Rh
1.0
7.1081 0.0000 0.0000
0.0000 6.4092 0.0000
0.0000 0.0000 6.6120
Ac Bi Rh
2 6 2
Direct
0.0000 0.1428 0.0000 Ac
0.5000 0.8572 0.5000 Ac
0.0000 0.8906 0.5382 Bi
0.2398 0.3373 0.4432 Bi
0.2602 0.6627 0.9432 Bi
0.5000 0.1094 0.0382 Bi
0.7398 0.6627 0.9432 Bi
0.7602 0.3373 0.4432 Bi
0.0000 0.6044 0.2372 Rh
0.5000 0.3956 0.7372 Rh
```



Structure and calculated PXRD pattern of AcBi2Rh4 (a DFT-relaxed cell (GGA-PBE, Alexandria); Cu Kα).

Top 10 peaks for 2θ from 15° to 90°, by intensity:
2θ/deg, I/Imax
34.31, 100
41.42, 99
40.65, 98
30.88, 87
35.03, 85
32.19, 61
40.43, 55
31.37, 50
39.27, 33
34.78, 30

Cell and atoms:
```
AcBi2Rh4
1.0
17.1082 0.0000 0.0000
0.0000 4.4389 0.0000
0.0000 0.0000 7.8518
Ac Bi Rh
4 8 16
Direct
0.1500 0.2500 0.0569 Ac
0.3500 0.7500 0.5569 Ac
0.6500 0.2500 0.4431 Ac
0.8500 0.7500 0.9431 Ac
0.0159 0.7500 0.2556 Bi
0.1895 0.2500 0.5961 Bi
0.3105 0.7500 0.0961 Bi
0.4841 0.2500 0.7556 Bi
0.5159 0.7500 0.2444 Bi
0.6895 0.2500 0.9039 Bi
0.8105 0.7500 0.4039 Bi
0.9841 0.2500 0.7444 Bi
0.0411 0.7500 0.9072 Rh
0.0509 0.2500 0.4329 Rh
0.1721 0.7500 0.3765 Rh
0.2138 0.7500 0.8075 Rh
0.2862 0.2500 0.3075 Rh
0.3279 0.2500 0.8765 Rh
0.4491 0.7500 0.9329 Rh
0.4589 0.2500 0.4072 Rh
0.5411 0.7500 0.5928 Rh
0.5509 0.2500 0.0671 Rh
0.6721 0.7500 0.1235 Rh
0.7138 0.7500 0.6925 Rh
0.7862 0.2500 0.1925 Rh
0.8279 0.2500 0.6235 Rh
0.9491 0.7500 0.5671 Rh
0.9589 0.2500 0.0928 Rh
```



Structure and calculated PXRD pattern of Ac2BiSb3Rh6 (a DFT-relaxed cell (GGA-PBE, Alexandria); Cu Kα).

Top 10 peaks for 2θ from 15° to 90°, by intensity:
2θ/deg, I/Imax
26.52, 100
44.63, 76
42.73, 65
29.85, 40
34.06, 40
51.00, 35
79.57, 28
30.35, 28
62.02, 22
43.79, 20

Cell and atoms:
```
Ac2BiSb3Rh6
1.0
4.2327 0.0000 0.0000
0.0000 4.2327 0.0000
0.0000 0.0000 16.5837
Ac Bi Sb Rh
2 1 3 6
Direct
0.0000 0.0000 0.1790 Ac
0.0000 0.0000 0.8210 Ac
0.0000 0.0000 0.5000 Bi
0.5000 0.5000 0.0000 Sb
0.5000 0.5000 0.3076 Sb
0.5000 0.5000 0.6924 Sb
0.0000 0.5000 0.3956 Rh
0.0000 0.5000 0.6044 Rh
0.5000 0.0000 0.3956 Rh
0.5000 0.0000 0.6044 Rh
0.5000 0.5000 0.1521 Rh
0.5000 0.5000 0.8479 Rh
```



Structure and calculated PXRD pattern of Ac2SnBiRh6 (a DFT-relaxed cell (GGA-PBE, Alexandria); Cu Kα).

Top 10 peaks for 2θ from 15° to 90°, by intensity:
2θ/deg, I/Imax
27.76, 100
36.87, 46
42.33, 45
28.01, 39
37.19, 30
40.13, 28
39.66, 25
40.00, 23
27.21, 21
39.83, 20

Cell and atoms:
```
Ac2SnBiRh6
1.0
5.7693 0.0000 0.0000
2.8285 6.1619 0.0000
2.8584 0.3174 6.2289
Ac Sn Bi Rh
2 1 1 6
Direct
0.0288 0.2072 0.2157 Ac
0.9712 0.7928 0.7843 Ac
0.5000 0.0000 0.5000 Sn
0.5000 0.5000 0.0000 Bi
0.0044 0.2630 0.7332 Rh
0.3586 0.4337 0.4374 Rh
0.4985 0.2224 0.7738 Rh
0.5015 0.7776 0.2262 Rh
0.6414 0.5663 0.5626 Rh
0.9956 0.7370 0.2668 Rh
```



Structure and calculated PXRD pattern of AcBiS (a DFT-relaxed cell (GGA-PBE, Alexandria); Cu Kα).

Top 10 peaks for 2θ from 15° to 90°, by intensity:
2θ/deg, I/Imax
23.95, 100
35.44, 72
30.26, 40
46.24, 37
25.81, 28
28.73, 22
43.23, 22
57.09, 20
41.03, 17
47.04, 15

Cell and atoms:
```
AcBiS
1.0
2.5327 1.4623 9.3233
-2.5327 1.4623 9.3233
0.0000 -2.9245 9.3233
Ac Bi S
2 2 2
Direct
0.1014 0.1014 0.1014 Ac
0.8986 0.8986 0.8986 Ac
0.3491 0.3491 0.3491 Bi
0.6509 0.6509 0.6509 Bi
0.2062 0.2062 0.2062 S
0.7938 0.7938 0.7938 S
```



Structure and calculated PXRD pattern of Ac6BiSe3S2 (a DFT-relaxed cell (GGA-PBE, Alexandria); Cu Kα).

Top 10 peaks for 2θ from 15° to 90°, by intensity:
2θ/deg, I/Imax
28.09, 100
40.18, 63
24.26, 36
65.83, 17
49.81, 14
49.61, 13
73.08, 13
39.98, 13
47.52, 12
58.01, 9

Cell and atoms:
```
Ac6BiSe3S2
1.0
9.7741 -2.2422 0.0000
9.7741 2.2422 0.0000
-2.0827 0.0000 8.7765
Ac Bi Se S
6 1 3 2
Direct
0.0069 0.0069 0.2673 Ac
0.3267 0.3267 0.9018 Ac
0.3298 0.3298 0.4235 Ac
0.6702 0.6702 0.5765 Ac
0.6733 0.6733 0.0982 Ac
0.9931 0.9931 0.7327 Ac
0.5000 0.5000 0.0000 Bi
0.1615 0.1615 0.8310 Se
0.5000 0.5000 0.5000 Se
0.8385 0.8385 0.1690 Se
0.1694 0.1694 0.3370 S
0.8306 0.8306 0.6630 S
```



Structure and calculated PXRD pattern of Ac7BiSb5 (a DFT-relaxed cell (GGA-PBE, Alexandria); Cu Kα).

Top 10 peaks for 2θ from 15° to 90°, by intensity:
2θ/deg, I/Imax
26.05, 100
24.92, 86
27.01, 84
37.64, 74
37.88, 63
45.71, 35
34.81, 33
36.59, 25
39.40, 25
27.83, 23

Cell and atoms:
```
Ac7BiSb5
1.0
2.3873 -7.8496 0.0000
2.3873 7.8496 0.0000
0.0000 0.0000 28.0948
Ac Bi Sb
14 2 10
Direct
0.0420 0.9580 0.7500 Ac
0.1373 0.8627 0.0353 Ac
0.1373 0.8627 0.4647 Ac
0.3182 0.6818 0.6777 Ac
0.3182 0.6818 0.8223 Ac
0.4112 0.5888 0.1065 Ac
0.4112 0.5888 0.3935 Ac
0.5888 0.4112 0.6065 Ac
0.5888 0.4112 0.8935 Ac
0.6818 0.3182 0.1777 Ac
0.6818 0.3182 0.3223 Ac
0.8627 0.1373 0.5353 Ac
0.8627 0.1373 0.9647 Ac
0.9580 0.0420 0.2500 Ac
0.2995 0.7005 0.2500 Bi
0.7005 0.2995 0.7500 Bi
0.0470 0.9530 0.1448 Sb
0.0470 0.9530 0.3552 Sb
0.2268 0.7732 0.5741 Sb
0.2268 0.7732 0.9259 Sb
0.5000 0.5000 0.0000 Sb
0.5000 0.5000 0.5000 Sb
0.7732 0.2268 0.0741 Sb
0.7732 0.2268 0.4259 Sb
0.9530 0.0470 0.6448 Sb
0.9530 0.0470 0.8552 Sb
```



Structure and calculated PXRD pattern of AcScBi (a DFT-relaxed cell (GGA-PBE, Alexandria); Cu Kα).

Top 10 peaks for 2θ from 15° to 90°, by intensity:
2θ/deg, I/Imax
26.62, 100
31.89, 84
33.77, 83
38.01, 61
50.43, 48
20.39, 37
50.97, 37
65.31, 35
28.56, 29
65.97, 24

Cell and atoms:
```
AcScBi
1.0
-2.3674 2.3674 8.7105
2.3674 -2.3674 8.7105
2.3674 2.3674 -8.7105
Ac Sc Bi
2 2 2
Direct
0.1724 0.1724 0.0000 Ac
0.8276 0.8276 0.0000 Ac
0.0000 0.5000 0.5000 Sc
0.5000 0.0000 0.5000 Sc
0.3797 0.3797 0.0000 Bi
0.6203 0.6203 0.0000 Bi
```



Structure and calculated PXRD pattern of AcScBi3 (a DFT-relaxed cell (GGA-PBE, Alexandria); Cu Kα).

Top 10 peaks for 2θ from 15° to 90°, by intensity:
2θ/deg, I/Imax
31.12, 100
29.84, 82
37.93, 63
28.86, 54
26.37, 46
64.10, 33
32.08, 33
49.21, 29
26.76, 29
26.03, 26

Cell and atoms:
```
AcScBi3
1.0
14.4478 0.0000 0.0000
0.0000 6.5809 0.0000
0.0000 0.0000 6.8472
Ac Sc Bi
4 4 12
Direct
0.1852 0.0085 0.2500 Ac
0.1852 0.4915 0.7500 Ac
0.8148 0.5085 0.2500 Ac
0.8148 0.9915 0.7500 Ac
0.4073 0.7500 0.0000 Sc
0.4073 0.7500 0.5000 Sc
0.5927 0.2500 0.0000 Sc
0.5927 0.2500 0.5000 Sc
0.0023 0.7500 0.0000 Bi
0.0023 0.7500 0.5000 Bi
0.2710 0.5034 0.2500 Bi
0.2710 0.9966 0.7500 Bi
0.4304 0.1231 0.2500 Bi
0.4304 0.3769 0.7500 Bi
0.5696 0.6231 0.2500 Bi
0.5696 0.8769 0.7500 Bi
0.7290 0.0034 0.2500 Bi
0.7290 0.4966 0.7500 Bi
0.9977 0.2500 0.0000 Bi
0.9977 0.2500 0.5000 Bi
```



Structure and calculated PXRD pattern of AcScBiSe (a DFT-relaxed cell (GGA-PBE, Alexandria); Cu Kα).

Top 10 peaks for 2θ from 15° to 90°, by intensity:
2θ/deg, I/Imax
24.72, 100
43.96, 45
30.55, 43
35.76, 42
25.07, 30
39.23, 26
43.32, 22
54.11, 21
51.46, 15
65.76, 14

Cell and atoms:
```
AcScBiSe
1.0
5.0226 0.0000 0.0000
0.0000 5.0226 0.0000
0.0000 0.0000 10.3302
Ac Sc Bi Se
2 2 2 2
Direct
0.2500 0.2500 0.1615 Ac
0.7500 0.7500 0.8385 Ac
0.2500 0.7500 0.5000 Sc
0.7500 0.2500 0.5000 Sc
0.2500 0.2500 0.6654 Bi
0.7500 0.7500 0.3346 Bi
0.2500 0.7500 0.0000 Se
0.7500 0.2500 0.0000 Se
```



Structure and calculated PXRD pattern of Ac3BiSe3 (a DFT-relaxed cell (GGA-PBE, Alexandria); Cu Kα).

Top 10 peaks for 2θ from 15° to 90°, by intensity:
2θ/deg, I/Imax
32.53, 100
23.20, 90
33.56, 80
43.22, 28
27.67, 26
47.43, 24
28.98, 23
40.34, 22
67.32, 21
18.61, 21

Cell and atoms:
```
Ac3BiSe3
1.0
4.7677 2.7526 6.4476
-4.7677 2.7526 6.4476
0.0000 -5.5052 6.4476
Ac Bi Se
6 2 6
Direct
0.0472 0.7769 0.4329 Ac
0.2231 0.5671 0.9528 Ac
0.4329 0.0472 0.7769 Ac
0.5671 0.9528 0.2231 Ac
0.7769 0.4329 0.0472 Ac
0.9528 0.2231 0.5671 Ac
0.1596 0.1596 0.1596 Bi
0.8404 0.8404 0.8404 Bi
0.1304 0.3976 0.6912 Se
0.3088 0.8696 0.6024 Se
0.3976 0.6912 0.1304 Se
0.6024 0.3088 0.8696 Se
0.6912 0.1304 0.3976 Se
0.8696 0.6024 0.3088 Se
```



Structure and calculated PXRD pattern of Ac5BiSe4 (a DFT-relaxed cell (GGA-PBE, Alexandria); Cu Kα).

Top 10 peaks for 2θ from 15° to 90°, by intensity:
2θ/deg, I/Imax
27.69, 100
39.52, 65
64.59, 19
23.90, 17
48.87, 15
71.63, 14
49.06, 13
39.72, 12
64.72, 12
57.25, 9

Cell and atoms:
```
Ac5BiSe4
1.0
11.7943 -2.2823 0.0000
11.7943 2.2823 0.0000
-1.7610 0.0000 6.2137
Ac Bi Se
5 1 4
Direct
0.0000 0.0000 0.0000 Ac
0.1992 0.1992 0.1992 Ac
0.3923 0.3923 0.3924 Ac
0.6077 0.6077 0.6076 Ac
0.8008 0.8008 0.8008 Ac
0.0000 0.0000 0.5000 Bi
0.2041 0.2041 0.7042 Se
0.3993 0.3993 0.8994 Se
0.6007 0.6007 0.1006 Se
0.7959 0.7959 0.2958 Se
```